1.
Structure and simulated powder XRD pattern of K4GeSe4O4 (a cell relaxed with GGA-PBE; Cu Kα X-rays).
Neutral-atom scattering factors, no anomalous dispersion.

Crystal structure
abc: 8.2506 8.9988 12.0417
angles: 101.75 93.26 113.03
Space group P-1 (No. 2)
One atom of each set of equivalent atoms:
K (0.1157, 0.0552, 0.3386) x2
K (0.2928, 0.9864, 0.0745) x2
K (0.3246, 0.6150, 0.1631) x2
K (0.3298, 0.7770, 0.5479) x2
Ge (0.2642, 0.3503, 0.7237) x2
Se (0.0055, 0.6051, 0.3126) x2
Se (0.2346, 0.2513, 0.9184) x2
Se (0.3145, 0.1431, 0.5986) x2
Se (0.4912, 0.4084, 0.3092) x2
O (0.0524, 0.0642, 0.8769) x2
O (0.1897, 0.7864, 0.2977) x2
O (0.4174, 0.2054, 0.9387) x2
O (0.4940, 0.2108, 0.2530) x2

Main lines, by angle (5° ≤ 2θ ≤ 70°):
index	two_theta	Rel. int.
0 1 -1	11.76	84
1 -1 0	12.39	100
0 1 1	14.86	77
-1 1 1	15.01	75
0 1 2	20.93	62
0 0 3	22.88	54
2 0 -2	26.23	68
-3 3 1	39.17	52



2.
Structure and simulated powder XRD pattern of Ba11In6O3 (a cell relaxed with GGA-PBE; Cu Kα X-rays).
Neutral-atom scattering factors, no anomalous dispersion.

Crystal structure
abc: 15.6536 15.6536 11.2658
angles: 90.00 90.00 90.00
Space group I4/mcm (No. 140)
One atom of each set of equivalent atoms:
Ba (0.0000, 0.0000, 0.0000) x4
Ba (0.1249, 0.3751, 0.2020) x16
Ba (0.1264, 0.1264, 0.2500) x16
Ba (0.2299, 0.2701, 0.5000) x8
In (0.0010, 0.2427, 0.5000) x16
In (0.0657, 0.4343, 0.5000) x8
O (0.0000, 0.0000, 0.2500) x4
O (0.2500, 0.2500, 0.2500) x8

Main lines, by angle (5° ≤ 2θ ≤ 70°):
index	two_theta	Rel. int.
2 1 3	26.94	14
4 0 2	27.76	100
0 0 4	31.78	26
4 4 0	32.35	41
4 4 4	45.98	21
8 0 0	46.41	10
4 0 6	54.15	11
8 4 2	54.94	27



3.
Structure and simulated powder XRD pattern of CrHg3 (a cell relaxed with GGA-PBE; Cu Kα X-rays).
Neutral-atom scattering factors, no anomalous dispersion.

Crystal structure
abc: 4.4391 4.4391 4.4391
angles: 90.00 90.00 90.00
Space group Pm-3m (No. 221)
One atom of each set of equivalent atoms:
Cr (0.0000, 0.0000, 0.0000) x1
Hg (0.0000, 0.5000, 0.5000) x3

Main lines, by angle (5° ≤ 2θ ≤ 70°):
index	two_theta	Rel. int.
1 0 0	20.00	14
1 1 0	28.43	13
1 1 1	35.01	100
2 0 0	40.65	50
2 1 0	45.70	7
2 1 1	50.35	6
2 2 0	58.84	34
3 0 0	62.80	4



4.
Structure and simulated powder XRD pattern of Ho3ReO7 (a cell relaxed with GGA-PBE; Cu Kα X-rays).
Neutral-atom scattering factors, no anomalous dispersion.

Crystal structure
abc: 7.5214 10.4855 7.3910
angles: 90.00 90.00 90.00
Space group C222_1 (No. 20)
One atom of each set of equivalent atoms:
Ho (0.0349, 0.0000, 0.0000) x4
Ho (0.2324, 0.2672, 0.7568) x8
Re (0.0013, 0.5000, 0.0000) x4
O (0.0000, 0.1304, 0.2500) x4
O (0.0000, 0.1377, 0.7500) x4
O (0.0000, 0.4273, 0.7500) x4
O (0.1819, 0.3719, 0.0380) x8
O (0.2044, 0.3776, 0.4755) x8

Main lines, by angle (5° ≤ 2θ ≤ 70°):
index	two_theta	Rel. int.
2 2 0	29.22	100
0 2 2	29.57	100
2 0 2	34.01	48
0 4 0	34.21	23
2 4 2	49.01	55
0 0 4	49.32	16
4 2 2	57.76	23
2 2 4	58.38	41



5.
Structure and simulated powder XRD pattern of Tm2Ni21B6 (a cell relaxed with GGA-PBE; Cu Kα X-rays).
Neutral-atom scattering factors, no anomalous dispersion.

Crystal structure
abc: 10.6327 10.6327 10.6327
angles: 90.00 90.00 90.00
Space group Fm-3m (No. 225)
One atom of each set of equivalent atoms:
Tm (0.2500, 0.2500, 0.2500) x8
Ni (0.0000, 0.0000, 0.0000) x4
Ni (0.0000, 0.1685, 0.1685) x48
Ni (0.1126, 0.1126, 0.3874) x32
B (0.0000, 0.0000, 0.2705) x24

Main lines, by angle (5° ≤ 2θ ≤ 70°):
index	two_theta	Rel. int.
2 0 0	16.68	16
2 2 0	23.67	17
4 2 0	37.84	76
4 2 2	41.61	68
3 3 3	44.26	100
4 4 0	48.43	35
5 3 1	50.80	25
6 2 2	57.49	21



6.
Structure and simulated powder XRD pattern of SmDyZn2 (a cell relaxed with GGA-PBE; Cu Kα X-rays).
Neutral-atom scattering factors, no anomalous dispersion.

Crystal structure
abc: 7.2203 7.2203 7.2203
angles: 90.00 90.00 90.00
Space group Fm-3m (No. 225)
One atom of each set of equivalent atoms:
Sm (0.0000, 0.0000, 0.0000) x4
Dy (0.0000, 0.0000, 0.5000) x4
Zn (0.2500, 0.2500, 0.2500) x8

Main lines, by angle (5° ≤ 2θ ≤ 70°):
index	two_theta	Rel. int.
2 0 0	24.66	17
2 2 0	35.15	100
2 2 2	43.41	5
4 0 0	50.57	18
4 2 0	57.04	7
4 2 2	63.08	36



7.
Structure and simulated powder XRD pattern of TiN (a cell relaxed with GGA-PBE; Cu Kα X-rays).
Neutral-atom scattering factors, no anomalous dispersion.

Crystal structure
abc: 2.6393 2.6393 2.6393
angles: 90.00 90.00 90.00
Space group Pm-3m (No. 221)
One atom of each set of equivalent atoms:
Ti (0.0000, 0.0000, 0.0000) x1
N (0.5000, 0.5000, 0.5000) x1

Main lines, by angle (5° ≤ 2θ ≤ 70°):
index	two_theta	Rel. int.
1 0 0	33.97	49
1 1 0	48.80	100
1 1 1	60.78	12



8.
Structure and simulated powder XRD pattern of KSmF4 (a cell relaxed with GGA-PBE; Cu Kα X-rays).
Neutral-atom scattering factors, no anomalous dispersion.

Crystal structure
abc: 6.2350 3.7213 15.7291
angles: 90.00 90.00 90.00
Space group Pnma (No. 62)
One atom of each set of equivalent atoms:
K (0.2223, 0.2500, 0.2021) x4
Sm (0.2487, 0.7500, 0.4401) x4
F (0.0048, 0.2500, 0.0572) x4
F (0.0919, 0.2500, 0.8096) x4
F (0.1057, 0.2500, 0.3674) x4
F (0.1337, 0.2500, 0.5358) x4

Main lines, by angle (5° ≤ 2θ ≤ 70°):
index	two_theta	Rel. int.
0 0 2	11.25	100
1 0 2	18.16	71
1 0 4	26.80	86
1 1 1	28.50	100
2 0 0	28.63	35
0 1 3	29.43	47
2 1 3	41.53	68
3 0 4	49.60	66